Structure and calculated powder diffraction line list of FeNi2F6 (a DFT-relaxed cell (GGA+U, Alexandria); CuKα).
No peak broadening, texture or thermal motion is included.

Principal peaks in the range 2θ from 5° to 70°, in order of rising 2θ:
| hkl | d_spacing | I_rel |
| --- | --- | --- |
| 0 0 3 | 4.734 | 277 |
| 1 0 1 | 4.348 | 770 |
| 0 1 2 | 3.841 | 1000 |
| 1 0 4 | 2.803 | 760 |
| 1 1 0 | 2.637 | 640 |
| 2 -1 3 | 2.304 | 607 |
| 0 2 4 | 1.921 | 370 |
| 2 -1 6 | 1.761 | 999 |
| 3 -1 4 | 1.552 | 298 |
| 3 0 0 | 1.522 | 459 |

Atomic structure:
Unit cell a=5.2738 b=5.2738 c=14.2019 alpha=90.00 beta=90.00 gamma=120.00
Space group R3 (No. 146, hexagonal axes)
One atom of each set of equivalent atoms:
Fe  0.0000  0.0000  0.0000
Ni  0.0000  0.0000  0.4941
Ni  0.0000  0.0000  0.6878
F  0.0089  0.3368  0.0860
F  0.0296  0.6357  0.2592